Entry 1:
The following is a theoretical XRD peak list of MnSn2F11. It was derived from a PBE+U-relaxed structure, using λ = 1.5418 Å (Cu Kα).
No peak broadening, texture or thermal motion is included.

Structural model:
abc: 13.343 7.977 9.479
angles: 90.00 131.08 90.00
Space group C2 (No. 5)
Unique sites:
Mn1 0.000 0.000 0.000
Mn2 0.000 0.316 0.500
Sn1 0.231 0.788 0.938
Sn2 0.246 0.486 0.443
F1 0.057 0.708 0.727
F2 0.076 0.500 0.194
F3 0.100 0.007 0.258
F4 0.103 0.115 0.512
F5 0.107 0.318 0.761
F6 0.108 0.190 0.013
F7 0.135 0.847 0.039
F8 0.137 0.457 0.531
F9 0.209 0.858 0.704
F10 0.213 0.740 0.466
F11 0.245 0.543 0.044

The 10 most intense peaks (10 to 80 degrees two-theta), by angle:
(2 0 0), 2θ = 17.64°, I = 54
(2 0 -2), 2θ = 18.77°, I = 30
(1 1 1), 2θ = 22.40°, I = 32
(1 1 -2), 2θ = 23.09°, I = 28
(0 0 2), 2θ = 24.92°, I = 41
(0 2 1), 2θ = 25.58°, I = 30
(2 2 -1), 2θ = 26.04°, I = 100
(4 0 -2), 2θ = 26.78°, I = 38
(4 0 0), 2θ = 35.74°, I = 26
(6 2 -3), 2θ = 46.85°, I = 29

=====

Entry 2:
The following is a theoretical XRD peak list of Mn2SnF8. It was derived from a PBE+U-relaxed structure, using λ = 1.5418 Å (Cu Kα).
No peak broadening, texture or thermal motion is included.

Structural model:
abc: 9.830 7.178 4.405
angles: 90.00 92.35 90.00
Space group C2/m (No. 12)
Unique sites:
Mn1 0.124 0.000 0.263
Sn1 0.000 0.500 0.000
F1 0.095 0.000 0.754
F2 0.097 0.299 0.238
F3 0.164 0.500 0.742

The 10 most intense peaks (10 to 80 degrees two-theta), by angle:
(2 0 0), 2θ = 18.06°, I = 60
(0 0 1), 2θ = 20.18°, I = 29
(0 2 0), 2θ = 24.81°, I = 82
(1 1 1), 2θ = 25.71°, I = 100
(2 0 -1), 2θ = 26.64°, I = 63
(3 1 0), 2θ = 30.00°, I = 42
(1 1 -2), 2θ = 43.64°, I = 26
(1 3 1), 2θ = 44.24°, I = 33
(4 0 2), 2θ = 57.37°, I = 31
(5 3 0), 2θ = 61.06°, I = 29

=====

Entry 3:
The following is a theoretical XRD peak list of SrMn2F6. It was derived from a PBE+U-relaxed structure, using λ = 1.5418 Å (Cu Kα).
No peak broadening, texture or thermal motion is included.

Structural model:
abc: 10.813 4.138 7.573
angles: 90.00 119.15 90.00
Space group C2/m (No. 12)
Unique sites:
Sr1 0.000 0.000 0.000
Mn1 0.175 0.000 0.603
F1 0.016 0.000 0.688
F2 0.149 0.500 0.109
F3 0.223 0.500 0.596

The 10 most intense peaks (10 to 80 degrees two-theta), by angle:
(2 0 -1), 2θ = 16.94°, I = 51
(1 1 0), 2θ = 23.47°, I = 100
(2 0 -2), 2θ = 24.19°, I = 61
(2 0 1), 2θ = 28.06°, I = 54
(3 1 -1), 2θ = 32.96°, I = 40
(4 0 -3), 2θ = 40.13°, I = 37
(3 1 1), 2θ = 43.29°, I = 39
(0 2 0), 2θ = 43.76°, I = 41
(5 1 -3), 2θ = 50.88°, I = 39
(1 1 3), 2θ = 51.90°, I = 26